Diffraction record for LaTb2HoTm4. The X-ray diffraction stick pattern is theoretical, not measured: it uses a cell relaxed with PBE and Cu Ka.
Lines closer than 0.1° are merged.

The 9 most intense peaks (10° ≤ 2θ ≤ 80°), in order of rising 2θ:
Position (°2θ)  intensity
27.0  46
30.5  100
41.2  89
54.3  20
55.7  6
61.7  27
63.6  12
64.8  23
70.4  18

Atomic structure:
abc: 9.449 9.449 9.449
angles: 138.08 103.48 91.31
Atoms (fractional coordinates):
La  0.500  0.000  0.000
La  0.500  0.500  0.500
Tb  0.000  0.000  0.000
Tb  0.000  0.000  0.500
Tb  0.000  0.500  0.000
Tb  0.500  0.000  0.500
Ho  0.000  0.500  0.500
Ho  0.500  0.500  0.000
Tm  0.247  0.749  0.498
Tm  0.249  0.251  0.998
Tm  0.250  0.250  0.500
Tm  0.250  0.749  0.000
Tm  0.750  0.251  0.000
Tm  0.750  0.750  0.500
Tm  0.751  0.749  0.002
Tm  0.753  0.251  0.502

=====

Diffraction record for PmMg6Ga2. The X-ray diffraction stick pattern is theoretical, not measured: it uses a cell relaxed with PBE and Cu Ka.
Lines closer than 0.1° are merged.

The 10 most intense peaks (10° ≤ 2θ ≤ 80°), in order of rising 2θ:
Position (°2θ)  intensity
26.6  31
28.4  41
29.8  61
33.1  54
33.5  86
40.7  100
49.0  23
53.4  28
58.9  48
69.4  21

Atomic structure:
abc: 4.438 4.438 10.242
angles: 90.00 90.00 90.00
Atoms (fractional coordinates):
Pm  0.000  0.000  0.000
Mg  0.000  0.000  0.500
Mg  0.000  0.500  0.277
Mg  0.000  0.500  0.723
Mg  0.500  0.000  0.277
Mg  0.500  0.000  0.723
Mg  0.500  0.500  0.500
Ga  0.500  0.500  0.119
Ga  0.500  0.500  0.881

=====

Diffraction record for Dy3ScSn2. The X-ray diffraction stick pattern is theoretical, not measured: it uses a cell relaxed with PBE and Cu Ka.
Lines closer than 0.1° are merged.

The 10 most intense peaks (10° ≤ 2θ ≤ 80°), in order of rising 2θ:
Position (°2θ)  intensity
28.2  37
29.3  28
30.2  87
32.3  39
35.7  100
38.2  23
40.3  66
52.6  42
59.3  19
74.2  19

Atomic structure:
abc: 9.439 9.439 9.439
angles: 140.80 56.56 140.91
Atoms (fractional coordinates):
Dy  0.173  0.248  0.421
Dy  0.250  0.250  0.000
Dy  0.327  0.748  0.075
Dy  0.673  0.252  0.925
Dy  0.750  0.750  0.000
Dy  0.827  0.752  0.579
Sc  0.250  0.750  0.500
Sc  0.750  0.250  0.500
Sn  0.136  0.742  0.878
Sn  0.364  0.242  0.605
Sn  0.636  0.758  0.395
Sn  0.864  0.258  0.122